This entry pairs a crystal structure of Na4Si3Ge2O12 with its calculated powder XRD pattern. Radiation: Cu Kα X-rays. Structure: a structure optimized by DFT (GGA-PBE).
Intensities are scaled so that the largest is 1000.

Most intense lines, 2θ from 10° to 80°, by angle:
2θ/deg, I_rel, (hkl)
20.12, 679, 1 0 4
20.27, 534, 1 1 0
23.75, 167, 1 1 3
28.72, 363, 0 2 4
31.47, 187, 2 1 1
32.09, 1000, 1 1 6
35.48, 596, 3 0 0
48.60, 361, 2 2 6
55.48, 193, 4 1 0
61.61, 235, 1 4 6

Cell and atoms:
abc: 8.7614 8.7614 21.6982
angles: 90.00 90.00 120.00
Space group R-3c (No. 167, hexagonal axes)
Inequivalent atoms, fractional coordinates:
Na 0.0000 0.0000 0.0000 (multiplicity 6)
Na 0.0000 0.3676 0.2500 (multiplicity 18)
Si 0.0000 0.2878 0.7500 (multiplicity 18)
Ge 0.0000 0.0000 0.1472 (multiplicity 12)
O 0.0255 0.1830 0.4103 (multiplicity 36)
O 0.0422 0.2042 0.6894 (multiplicity 36)